AcNdPtI: computed powder diffraction line list (a wavelength of 1.5418 Å), based on a DFT-relaxed cell (PBE, Alexandria).

Structure:
```
AcNdPtI
1.0
2.184 1.261 8.404
-2.184 1.261 8.404
0.000 -2.522 8.404
Ac Nd Pt I
1 1 1 1
direct
0.000 0.000 0.000 Ac
0.210 0.210 0.210 Nd
0.601 0.601 0.601 Pt
0.777 0.777 0.777 I
```

Principal peaks in the range 15° ≤ 2θ ≤ 90°, in order of falling intensity:
29.52 deg, d 3.026, I = 100; 41.33 deg, d 2.184, I = 45; 43.11 deg, d 2.098, I = 29; 51.60 deg, d 1.771, I = 21; 68.16 deg, d 1.376, I = 19; 24.57 deg, d 3.624, I = 17; 27.50 deg, d 3.244, I = 17; 61.24 deg, d 1.514, I = 15; 37.13 deg, d 2.422, I = 13; 34.38 deg, d 2.609, I = 11; 23.78 deg, d 3.741, I = 10; 76.60 deg, d 1.244, I = 10



Ac4NiPbI2: computed powder diffraction line list (a wavelength of 1.5418 Å), based on a DFT-relaxed cell (PBE, Alexandria).

Structure:
```
Ac4NiPbI2
1.0
8.410 0.000 0.000
0.000 4.484 0.000
-2.401 0.000 8.318
Ac Ni Pb I
4 1 1 2
direct
0.201 0.000 0.185 Ac
0.240 0.500 0.791 Ac
0.760 0.500 0.209 Ac
0.799 0.000 0.815 Ac
0.000 0.500 0.000 Ni
0.500 0.000 0.000 Pb
0.000 0.000 0.500 I
0.500 0.500 0.500 I
```

Principal peaks in the range 15° ≤ 2θ ≤ 90°, in order of falling intensity:
26.40 deg, d 3.375, I = 100; 26.14 deg, d 3.409, I = 53; 37.88 deg, d 2.375, I = 43; 37.11 deg, d 2.423, I = 32; 48.61 deg, d 1.873, I = 20; 40.23 deg, d 2.242, I = 20; 34.99 deg, d 2.564, I = 14; 33.45 deg, d 2.679, I = 12; 61.45 deg, d 1.509, I = 11; 52.50 deg, d 1.743, I = 10; 46.60 deg, d 1.949, I = 9; 44.87 deg, d 2.020, I = 9



Ac8NiPd3I4: computed powder diffraction line list (a wavelength of 1.5418 Å), based on a DFT-relaxed cell (PBE, Alexandria).

Structure:
```
Ac8NiPd3I4
1.0
7.731 -4.463 0.000
7.731 4.463 0.000
-5.164 0.000 8.653
Ac Ni Pd I
8 1 3 4
direct
0.224 0.224 0.685 Ac
0.224 0.736 0.685 Ac
0.264 0.776 0.315 Ac
0.271 0.271 0.312 Ac
0.729 0.729 0.688 Ac
0.736 0.224 0.685 Ac
0.776 0.264 0.315 Ac
0.776 0.776 0.315 Ac
0.000 0.000 0.500 Ni
0.000 0.500 0.500 Pd
0.500 0.000 0.500 Pd
0.500 0.500 0.500 Pd
0.000 0.000 0.000 I
0.000 0.500 0.000 I
0.500 0.000 0.000 I
0.500 0.500 0.000 I
```

Principal peaks in the range 15° ≤ 2θ ≤ 90°, in order of falling intensity:
26.85 deg, d 3.321, I = 100; 40.42 deg, d 2.232, I = 41; 36.14 deg, d 2.485, I = 24; 28.79 deg, d 3.101, I = 21; 49.19 deg, d 1.852, I = 19; 51.79 deg, d 1.765, I = 18; 33.49 deg, d 2.676, I = 17; 24.02 deg, d 3.705, I = 14; 31.00 deg, d 2.884, I = 12; 45.01 deg, d 2.014, I = 12; 65.49 deg, d 1.425, I = 11; 51.51 deg, d 1.774, I = 10



Ac6Ni2SI3: computed powder diffraction line list (a wavelength of 1.5418 Å), based on a DFT-relaxed cell (PBE, Alexandria).

Structure:
```
Ac6Ni2SI3
1.0
3.819 -6.615 0.000
3.819 6.615 0.000
-2.539 0.000 8.377
Ac Ni S I
6 2 1 3
direct
0.088 0.436 0.812 Ac
0.213 0.213 0.187 Ac
0.436 0.088 0.812 Ac
0.564 0.912 0.188 Ac
0.787 0.787 0.813 Ac
0.912 0.564 0.188 Ac
0.167 0.833 0.000 Ni
0.833 0.167 0.000 Ni
0.500 0.500 0.000 S
0.000 0.000 0.500 I
0.338 0.662 0.500 I
0.662 0.338 0.500 I
```

Principal peaks in the range 15° ≤ 2θ ≤ 90°, in order of falling intensity:
27.33 deg, d 3.263, I = 100; 40.93 deg, d 2.205, I = 41; 29.37 deg, d 3.041, I = 30; 24.36 deg, d 3.654, I = 24; 37.05 deg, d 2.426, I = 23; 52.91 deg, d 1.730, I = 23; 49.91 deg, d 1.827, I = 19; 32.05 deg, d 2.792, I = 16; 66.46 deg, d 1.407, I = 15; 53.10 deg, d 1.725, I = 14; 34.28 deg, d 2.616, I = 14; 46.31 deg, d 1.961, I = 10



Ac3IO4: computed powder diffraction line list (a wavelength of 1.5418 Å), based on a DFT-relaxed cell (PBE, Alexandria).

Structure:
```
Ac3IO4
1.0
4.282 0.000 0.000
0.000 4.282 0.000
0.000 0.000 10.260
Ac I O
3 1 4
direct
0.000 0.000 0.000 Ac
0.500 0.500 0.256 Ac
0.500 0.500 0.744 Ac
0.000 0.000 0.500 I
0.000 0.500 0.151 O
0.000 0.500 0.849 O
0.500 0.000 0.151 O
0.500 0.000 0.849 O
```

Principal peaks in the range 15° ≤ 2θ ≤ 90°, in order of falling intensity:
27.12 deg, d 3.288, I = 100; 50.89 deg, d 1.794, I = 37; 29.50 deg, d 3.028, I = 34; 46.39 deg, d 1.957, I = 27; 42.21 deg, d 2.141, I = 18; 55.94 deg, d 1.644, I = 12; 58.08 deg, d 1.588, I = 12; 74.37 deg, d 1.276, I = 12; 34.98 deg, d 2.565, I = 11; 80.14 deg, d 1.198, I = 11; 83.56 deg, d 1.157, I = 9; 68.19 deg, d 1.375, I = 8



Ac4I6O19: computed powder diffraction line list (a wavelength of 1.5418 Å), based on a DFT-relaxed cell (PBE, Alexandria).

Structure:
```
Ac4I6O19
1.0
-4.929 4.929 4.929
4.929 -4.929 4.929
4.929 4.929 -4.929
Ac I O
4 6 19
direct
0.000 0.000 0.290 Ac
0.000 0.290 0.000 Ac
0.290 0.000 0.000 Ac
0.710 0.710 0.710 Ac
0.147 0.500 0.647 I
0.353 0.853 0.500 I
0.500 0.353 0.853 I
0.500 0.647 0.147 I
0.647 0.147 0.500 I
0.853 0.500 0.353 I
0.000 0.000 0.000 O
0.000 0.300 0.300 O
0.000 0.700 0.700 O
0.045 0.694 0.322 O
0.276 0.649 0.955 O
0.300 0.000 0.300 O
0.300 0.300 0.000 O
0.306 0.351 0.627 O
0.322 0.045 0.694 O
0.351 0.627 0.306 O
0.373 0.724 0.678 O
0.627 0.306 0.351 O
0.649 0.955 0.276 O
0.678 0.373 0.724 O
0.694 0.322 0.045 O
0.700 0.000 0.700 O
0.700 0.700 0.000 O
0.724 0.678 0.373 O
0.955 0.276 0.649 O
```

Principal peaks in the range 15° ≤ 2θ ≤ 90°, in order of falling intensity:
28.64 deg, d 3.117, I = 100; 22.09 deg, d 4.024, I = 87; 47.01 deg, d 1.933, I = 64; 34.03 deg, d 2.634, I = 48; 50.73 deg, d 1.800, I = 32; 31.44 deg, d 2.846, I = 29; 38.76 deg, d 2.323, I = 27; 84.56 deg, d 1.146, I = 27; 55.97 deg, d 1.643, I = 26; 45.06 deg, d 2.012, I = 15; 64.07 deg, d 1.453, I = 14; 76.02 deg, d 1.252, I = 13



Ac2IO3: computed powder diffraction line list (a wavelength of 1.5418 Å), based on a DFT-relaxed cell (PBE, Alexandria).

Structure:
```
Ac2IO3
1.0
6.628 0.000 0.000
-3.314 5.740 0.000
0.000 0.000 3.400
Ac I O
2 1 3
direct
0.333 0.667 0.000 Ac
0.667 0.333 0.000 Ac
0.000 0.000 0.000 I
0.000 0.500 0.500 O
0.500 0.000 0.500 O
0.500 0.500 0.500 O
```

Principal peaks in the range 15° ≤ 2θ ≤ 90°, in order of falling intensity:
26.90 deg, d 3.314, I = 100; 37.91 deg, d 2.373, I = 92; 55.08 deg, d 1.667, I = 32; 26.21 deg, d 3.400, I = 31; 47.52 deg, d 1.913, I = 22; 61.28 deg, d 1.513, I = 21; 81.98 deg, d 1.175, I = 20; 62.34 deg, d 1.490, I = 18; 55.45 deg, d 1.657, I = 17; 15.44 deg, d 5.740, I = 15; 74.69 deg, d 1.271, I = 12; 75.98 deg, d 1.253, I = 11



Ac3IO6: computed powder diffraction line list (a wavelength of 1.5418 Å), based on a DFT-relaxed cell (PBE, Alexandria).

Structure:
```
Ac3IO6
1.0
5.627 3.249 3.449
-5.627 3.249 3.449
0.000 -6.498 3.449
Ac I O
6 2 12
direct
0.095 0.606 0.778 Ac
0.222 0.905 0.394 Ac
0.394 0.222 0.905 Ac
0.606 0.778 0.095 Ac
0.778 0.095 0.606 Ac
0.905 0.394 0.222 Ac
0.000 0.000 0.000 I
0.500 0.500 0.500 I
0.051 0.301 0.898 O
0.102 0.949 0.699 O
0.189 0.588 0.463 O
0.301 0.898 0.051 O
0.412 0.537 0.811 O
0.463 0.189 0.588 O
0.537 0.811 0.412 O
0.588 0.463 0.189 O
0.699 0.102 0.949 O
0.811 0.412 0.537 O
0.898 0.051 0.301 O
0.949 0.699 0.102 O
```

Principal peaks in the range 15° ≤ 2θ ≤ 90°, in order of falling intensity:
25.67 deg, d 3.470, I = 100; 29.77 deg, d 3.001, I = 68; 42.71 deg, d 2.117, I = 44; 50.38 deg, d 1.811, I = 36; 25.83 deg, d 3.449, I = 35; 42.50 deg, d 2.127, I = 34; 52.75 deg, d 1.735, I = 16; 50.59 deg, d 1.804, I = 15; 30.40 deg, d 2.941, I = 15; 61.83 deg, d 1.500, I = 13; 70.27 deg, d 1.340, I = 11; 37.54 deg, d 2.396, I = 10



AcPbIO6: computed powder diffraction line list (a wavelength of 1.5418 Å), based on a DFT-relaxed cell (PBE, Alexandria).

Structure:
```
AcPbIO6
1.0
6.098 0.000 0.000
-3.049 5.281 0.000
0.000 0.000 9.312
Ac Pb I O
2 2 2 12
direct
0.333 0.667 0.250 Ac
0.667 0.333 0.750 Ac
0.000 0.000 0.000 Pb
0.000 0.000 0.500 Pb
0.333 0.667 0.750 I
0.667 0.333 0.250 I
0.073 0.407 0.634 O
0.073 0.666 0.866 O
0.334 0.407 0.866 O
0.334 0.927 0.634 O
0.407 0.073 0.134 O
0.407 0.334 0.366 O
0.593 0.666 0.634 O
0.593 0.927 0.866 O
0.666 0.073 0.366 O
0.666 0.593 0.134 O
0.927 0.334 0.134 O
0.927 0.593 0.366 O
```

Principal peaks in the range 15° ≤ 2θ ≤ 90°, in order of falling intensity:
25.50 deg, d 3.493, I = 100; 29.29 deg, d 3.049, I = 64; 49.24 deg, d 1.850, I = 41; 49.69 deg, d 1.835, I = 33; 39.22 deg, d 2.297, I = 32; 51.94 deg, d 1.760, I = 18; 66.97 deg, d 1.397, I = 14; 66.60 deg, d 1.404, I = 13; 74.38 deg, d 1.275, I = 12; 77.98 deg, d 1.225, I = 9; 60.75 deg, d 1.525, I = 9; 83.97 deg, d 1.152, I = 9



AcScI2O8: computed powder diffraction line list (a wavelength of 1.5418 Å), based on a DFT-relaxed cell (PBE, Alexandria).

Structure:
```
AcScI2O8
1.0
2.760 1.594 6.552
-2.760 1.594 6.552
0.000 -3.187 6.552
Ac Sc I O
1 1 2 8
direct
0.000 0.000 0.000 Ac
0.500 0.500 0.500 Sc
0.222 0.222 0.222 I
0.778 0.778 0.778 I
0.137 0.406 0.775 O
0.225 0.863 0.594 O
0.315 0.315 0.315 O
0.406 0.775 0.137 O
0.594 0.225 0.863 O
0.685 0.685 0.685 O
0.775 0.137 0.406 O
0.863 0.594 0.225 O
```

Principal peaks in the range 15° ≤ 2θ ≤ 90°, in order of falling intensity:
26.00 deg, d 3.427, I = 100; 32.43 deg, d 2.760, I = 72; 19.10 deg, d 4.646, I = 42; 29.41 deg, d 3.037, I = 40; 42.03 deg, d 2.150, I = 32; 53.50 deg, d 1.713, I = 29; 54.07 deg, d 1.696, I = 28; 41.33 deg, d 2.185, I = 25; 57.86 deg, d 1.594, I = 21; 44.35 deg, d 2.043, I = 16; 56.01 deg, d 1.642, I = 15; 73.57 deg, d 1.287, I = 14



AcSmIO6: computed powder diffraction line list (a wavelength of 1.5418 Å), based on a DFT-relaxed cell (PBE, Alexandria).

Structure:
```
AcSmIO6
1.0
5.967 0.000 0.000
-2.983 5.167 0.000
0.000 0.000 9.314
Ac Sm I O
2 2 2 12
direct
0.333 0.667 0.250 Ac
0.667 0.333 0.750 Ac
0.000 0.000 0.000 Sm
0.000 0.000 0.500 Sm
0.333 0.667 0.750 I
0.667 0.333 0.250 I
0.062 0.372 0.630 O
0.062 0.690 0.870 O
0.310 0.372 0.870 O
0.310 0.938 0.630 O
0.372 0.062 0.130 O
0.372 0.310 0.370 O
0.628 0.690 0.630 O
0.628 0.938 0.870 O
0.690 0.062 0.370 O
0.690 0.628 0.130 O
0.938 0.310 0.130 O
0.938 0.628 0.370 O
```

Principal peaks in the range 15° ≤ 2θ ≤ 90°, in order of falling intensity:
25.75 deg, d 3.459, I = 100; 29.95 deg, d 2.983, I = 66; 49.67 deg, d 1.836, I = 46; 50.68 deg, d 1.801, I = 32; 39.90 deg, d 2.259, I = 32; 53.18 deg, d 1.722, I = 20; 35.74 deg, d 2.512, I = 18; 19.06 deg, d 4.657, I = 13; 68.50 deg, d 1.370, I = 13; 67.66 deg, d 1.385, I = 13; 75.72 deg, d 1.256, I = 13; 62.24 deg, d 1.492, I = 9